# SiAg2HgS4
Simulated X-ray diffraction stick pattern, Cu Kα (weighted mean of Kα1 and Kα2). Input: a cell relaxed with PBE.
Peak positions follow from Bragg's law for the DFT cell and can differ from measured ones.

Structure:
a = 7.036 Å, b = 7.035 Å, c = 5.631 Å
α = 66.41°, β = 66.41°, γ = 47.18°
Fractional coordinates of all 8 atoms:
Si  0.000  0.000  0.000
Ag  0.250  0.250  0.250
Ag  0.750  0.750  0.750
Hg  0.500  0.500  0.500
S  0.101  0.672  0.899
S  0.328  0.898  0.102
S  0.672  0.101  0.328
S  0.898  0.328  0.672

Top 10 peaks for 15 to 90 degrees two-theta, sorted by position:
| Position (°2θ) | intensity |
| --- | --- |
| 17.5 | 25 |
| 27.2 | 100 |
| 28.0 | 14 |
| 31.8 | 17 |
| 36.5 | 16 |
| 44.9 | 36 |
| 45.6 | 17 |
| 52.6 | 15 |
| 53.9 | 28 |
| 72.1 | 12 |



# Rb3Li2AgCl6
Simulated X-ray diffraction stick pattern, Cu Kα (weighted mean of Kα1 and Kα2). Input: a cell relaxed with PBE.
Peak positions follow from Bragg's law for the DFT cell and can differ from measured ones.

Structure:
a = 7.549 Å, b = 7.549 Å, c = 8.357 Å
α = 90.00°, β = 90.00°, γ = 120.00°
Fractional coordinates of all 12 atoms:
Rb  0.000  0.000  0.000
Rb  0.333  0.667  0.625
Rb  0.667  0.333  0.375
Li  0.333  0.667  0.225
Li  0.667  0.333  0.775
Ag  0.000  0.000  0.500
Cl  0.167  0.335  0.291
Cl  0.167  0.833  0.291
Cl  0.335  0.167  0.709
Cl  0.665  0.833  0.291
Cl  0.833  0.167  0.709
Cl  0.833  0.665  0.709

Top 10 peaks for 15 to 90 degrees two-theta, sorted by position:
| Position (°2θ) | intensity |
| --- | --- |
| 23.6 | 89 |
| 25.3 | 70 |
| 25.9 | 24 |
| 29.3 | 90 |
| 32.0 | 55 |
| 34.8 | 100 |
| 42.5 | 35 |
| 45.6 | 28 |
| 48.2 | 45 |
| 57.8 | 28 |



# CsCrC6
Simulated X-ray diffraction stick pattern, Cu Kα (weighted mean of Kα1 and Kα2). Input: a cell relaxed with PBE.
Peak positions follow from Bragg's law for the DFT cell and can differ from measured ones.

Structure:
a = 5.171 Å, b = 5.171 Å, c = 5.171 Å
α = 90.00°, β = 90.00°, γ = 90.00°
Fractional coordinates of all 8 atoms:
Cs  0.000  0.000  0.000
Cr  0.500  0.500  0.500
C  0.123  0.500  0.500
C  0.500  0.123  0.500
C  0.500  0.500  0.123
C  0.500  0.500  0.877
C  0.500  0.877  0.500
C  0.877  0.500  0.500

Top 10 peaks for 15 to 90 degrees two-theta, sorted by position:
| Position (°2θ) | intensity |
| --- | --- |
| 24.3 | 100 |
| 29.9 | 20 |
| 34.7 | 34 |
| 38.9 | 9 |
| 42.8 | 35 |
| 49.9 | 18 |
| 56.3 | 25 |
| 67.8 | 23 |
| 78.5 | 10 |
| 88.7 | 7 |



# Na4Y3PuS8
Simulated X-ray diffraction stick pattern, Cu Kα (weighted mean of Kα1 and Kα2). Input: a cell relaxed with PBE.
Peak positions follow from Bragg's law for the DFT cell and can differ from measured ones.

Structure:
a = 8.117 Å, b = 8.117 Å, c = 8.117 Å
α = 59.17°, β = 59.17°, γ = 59.17°
Fractional coordinates of all 16 atoms:
Na  0.000  0.000  0.000
Na  0.000  0.500  0.500
Na  0.500  0.000  0.500
Na  0.500  0.500  0.000
Y  0.000  0.000  0.500
Y  0.000  0.500  0.000
Y  0.500  0.000  0.000
Pu  0.500  0.500  0.500
S  0.240  0.744  0.744
S  0.243  0.243  0.243
S  0.256  0.256  0.760
S  0.256  0.760  0.256
S  0.744  0.240  0.744
S  0.744  0.744  0.240
S  0.757  0.757  0.757
S  0.760  0.256  0.256

Top 10 peaks for 15 to 90 degrees two-theta, sorted by position:
| Position (°2θ) | intensity |
| --- | --- |
| 26.1 | 33 |
| 27.2 | 21 |
| 31.4 | 100 |
| 40.9 | 16 |
| 44.7 | 35 |
| 45.3 | 35 |
| 47.4 | 18 |
| 56.1 | 18 |
| 74.0 | 14 |
| 74.8 | 15 |